Entry 1:
For Ca2NF, a structure optimized by DFT (GGA-PBE) gives the theoretical X-ray diffraction stick pattern in this record (copper Kα).
Kinematic intensities with the Lorentz-polarization factor, no thermal factor.

```
data_Ca2NF
_cell_length_a 4.919
_cell_length_b 4.919
_cell_length_c 10.403
_cell_angle_alpha 90.00
_cell_angle_beta 90.00
_cell_angle_gamma 90.00
_symmetry_space_group_name_H-M 'I 41/a m d'
_symmetry_Int_Tables_number 141
loop_
_symmetry_equiv_pos_as_xyz
'x,y,z'
'-x,-y,-z'
'-y+1/4,x+3/4,z+1/4'
'y+1/4,-x+3/4,-z+1/4'
'-x+1/2,-y,z+1/2'
'x+1/2,y,-z+1/2'
'y+1/4,-x+1/4,z+3/4'
'-y+1/4,x+1/4,-z+3/4'
'x,-y,-z'
'-x,y,z'
'-y+1/4,-x+1/4,-z+3/4'
'y+1/4,x+1/4,z+3/4'
'-x+1/2,y,-z+1/2'
'x+1/2,-y,z+1/2'
'y+1/4,x+3/4,-z+1/4'
'-y+1/4,-x+3/4,z+1/4'
'x+1/2,y+1/2,z+1/2'
'-x+1/2,-y+1/2,-z+1/2'
'-y+3/4,x+1/4,z+3/4'
'y+3/4,-x+1/4,-z+3/4'
'-x,-y+1/2,z'
'x,y+1/2,-z'
'y+3/4,-x+3/4,z+1/4'
'-y+3/4,x+3/4,-z+1/4'
'x+1/2,-y+1/2,-z+1/2'
'-x+1/2,y+1/2,z+1/2'
'-y+3/4,-x+3/4,-z+1/4'
'y+3/4,x+3/4,z+1/4'
'-x,y+1/2,-z'
'x,-y+1/2,z'
'y+3/4,x+1/4,-z+3/4'
'-y+3/4,-x+1/4,z+3/4'
loop_
_atom_site_label
_atom_site_fract_x
_atom_site_fract_y
_atom_site_fract_z
_atom_site_occupancy
Ca1 0.000 0.250 0.103 1
N1 0.000 0.250 0.875 1
F1 0.000 0.250 0.375 1
```

Peak list (10 most intense, 2θ from 15° to 90°, low angle first)
2.891 Å, rel. 520, (1 1 2); 2.834 Å, rel. 179, (1 0 3); 2.601 Å, rel. 475, (0 0 4); 2.459 Å, rel. 1000, (2 0 0); 1.858 Å, rel. 95, (2 1 3); 1.787 Å, rel. 525, (2 0 4); 1.739 Å, rel. 300, (2 2 0); 1.490 Å, rel. 145, (3 1 2); 1.446 Å, rel. 232, (2 2 4); 1.100 Å, rel. 109, (4 2 0)

***

Entry 2:
For La2MgZnSbO6, a structure optimized by DFT (GGA-PBE) gives the theoretical X-ray diffraction stick pattern in this record (copper Kα).
Kinematic intensities with the Lorentz-polarization factor, no thermal factor.

```
data_La2MgZnSbO6
_cell_length_a 5.9955
_cell_length_b 5.9955
_cell_length_c 19.1307
_cell_angle_alpha 90.00
_cell_angle_beta 90.00
_cell_angle_gamma 120.00
_symmetry_space_group_name_H-M 'R 3'
_symmetry_Int_Tables_number 146
_symmetry_space_group_name_Hall 'R 3'
loop_
_atom_site_label
_atom_site_fract_x
_atom_site_fract_y
_atom_site_fract_z
_atom_site_occupancy
La1 0.0000 0.0000 0.0000 1
La2 0.0000 0.0000 0.3937 1
Mg1 0.0000 0.0000 0.6456 1
Zn1 0.0000 0.0000 0.8173 1
Sb1 0.0000 0.0000 0.1796 1
O1 0.0045 0.6245 0.9860 1
O2 0.0715 0.3700 0.7850 1
```

Peak list (10 most intense, 2θ from 15° to 90°, low angle first)
5.011 Å, rel. 404, (1 0 1); 3.188 Å, rel. 140, (0 0 6); 3.080 Å, rel. 961, (0 1 5); 2.998 Å, rel. 1000, (1 1 0); 2.184 Å, rel. 276, (2 -1 6); 2.148 Å, rel. 405, (2 0 5); 1.746 Å, rel. 402, (1 2 5); 1.731 Å, rel. 301, (3 0 0); 1.499 Å, rel. 135, (2 2 0); 1.348 Å, rel. 149, (4 -1 5)

***

Repeat the first record exactly.
For Ca2NF, a structure optimized by DFT (GGA-PBE) gives the theoretical X-ray diffraction stick pattern in this record (copper Kα).
Kinematic intensities with the Lorentz-polarization factor, no thermal factor.

```
data_Ca2NF
_cell_length_a 4.919
_cell_length_b 4.919
_cell_length_c 10.403
_cell_angle_alpha 90.00
_cell_angle_beta 90.00
_cell_angle_gamma 90.00
_symmetry_space_group_name_H-M 'I 41/a m d'
_symmetry_Int_Tables_number 141
loop_
_symmetry_equiv_pos_as_xyz
'x,y,z'
'-x,-y,-z'
'-y+1/4,x+3/4,z+1/4'
'y+1/4,-x+3/4,-z+1/4'
'-x+1/2,-y,z+1/2'
'x+1/2,y,-z+1/2'
'y+1/4,-x+1/4,z+3/4'
'-y+1/4,x+1/4,-z+3/4'
'x,-y,-z'
'-x,y,z'
'-y+1/4,-x+1/4,-z+3/4'
'y+1/4,x+1/4,z+3/4'
'-x+1/2,y,-z+1/2'
'x+1/2,-y,z+1/2'
'y+1/4,x+3/4,-z+1/4'
'-y+1/4,-x+3/4,z+1/4'
'x+1/2,y+1/2,z+1/2'
'-x+1/2,-y+1/2,-z+1/2'
'-y+3/4,x+1/4,z+3/4'
'y+3/4,-x+1/4,-z+3/4'
'-x,-y+1/2,z'
'x,y+1/2,-z'
'y+3/4,-x+3/4,z+1/4'
'-y+3/4,x+3/4,-z+1/4'
'x+1/2,-y+1/2,-z+1/2'
'-x+1/2,y+1/2,z+1/2'
'-y+3/4,-x+3/4,-z+1/4'
'y+3/4,x+3/4,z+1/4'
'-x,y+1/2,-z'
'x,-y+1/2,z'
'y+3/4,x+1/4,-z+3/4'
'-y+3/4,-x+1/4,z+3/4'
loop_
_atom_site_label
_atom_site_fract_x
_atom_site_fract_y
_atom_site_fract_z
_atom_site_occupancy
Ca1 0.000 0.250 0.103 1
N1 0.000 0.250 0.875 1
F1 0.000 0.250 0.375 1
```

Peak list (10 most intense, 2θ from 15° to 90°, low angle first)
2.891 Å, rel. 520, (1 1 2); 2.834 Å, rel. 179, (1 0 3); 2.601 Å, rel. 475, (0 0 4); 2.459 Å, rel. 1000, (2 0 0); 1.858 Å, rel. 95, (2 1 3); 1.787 Å, rel. 525, (2 0 4); 1.739 Å, rel. 300, (2 2 0); 1.490 Å, rel. 145, (3 1 2); 1.446 Å, rel. 232, (2 2 4); 1.100 Å, rel. 109, (4 2 0)

***

Question: Number 2 is which compound?
Answer: La2MgZnSbO6